The following is a simulated powder diffractogram of Ho2Co2O7. It was derived from a structure optimized by DFT (GGA+U), using CuKα.
Peak positions follow from Bragg's law for the DFT cell and can differ from measured ones.

Crystal structure
```
Ho2Co2O7
1.0
0.000 4.927 4.927
4.927 0.000 4.927
4.927 4.927 0.000
Ho Co O
4 4 14
direct
0.000 0.000 0.000
0.000 0.000 0.500
0.000 0.500 0.000
0.500 0.000 0.000
0.000 0.500 0.500
0.500 0.000 0.500
0.500 0.500 0.000
0.500 0.500 0.500
0.125 0.125 0.125
0.172 0.172 0.578
0.172 0.578 0.172
0.172 0.578 0.578
0.422 0.422 0.828
0.422 0.828 0.422
0.422 0.828 0.828
0.578 0.172 0.172
0.578 0.172 0.578
0.578 0.578 0.172
0.828 0.422 0.422
0.828 0.422 0.828
0.828 0.828 0.422
0.875 0.875 0.875
```

Most intense lines, 2θ from 10° to 90°, by angle:
15.58 deg, I 20.9
30.08 deg, I 11.3
31.45 deg, I 100.0
36.47 deg, I 31.2
39.88 deg, I 15.4
47.97 deg, I 7.4
52.54 deg, I 45.6
62.52 deg, I 40.7
65.64 deg, I 9.6
77.49 deg, I 6.5
86.01 deg, I 16.8
88.81 deg, I 14.0